Entry 1:
Structure and calculated XRD peak list of Ba2SrF8 (a cell relaxed with PBE; CuKα).

Largest 12 diffraction maxima, in order of rising 2θ, 15 to 90 degrees two-theta:
2θ/deg  d [Å]  I_rel
24.64  3.613  1000
28.00  3.187  148
28.78  3.102  198
36.95  2.433  111
40.59  2.223  573
41.16  2.193  266
47.56  1.912  172
48.56  1.875  324
50.52  1.806  88
64.68  1.441  138
73.46  1.289  72
74.63  1.272  121

Atomic structure:
a b c (Å): 7.634 7.634 7.634
angles (deg): 146.62 130.65 60.89
Element x y z (fractional)
Ba  0.183  0.183  0.000
Ba  0.817  0.817  0.000
Sr  0.500  0.500  0.000
F  0.086  0.344  0.742
F  0.184  0.000  0.184
F  0.386  0.886  0.500
F  0.398  0.656  0.742
F  0.602  0.344  0.258
F  0.614  0.114  0.500
F  0.816  0.000  0.816
F  0.914  0.656  0.258

***

Entry 2:
Structure and calculated XRD peak list of BaSrZn2F8 (a cell relaxed with PBE; CuKα).

Largest 12 diffraction maxima, in order of rising 2θ, 15 to 90 degrees two-theta:
2θ/deg  d [Å]  I_rel
26.64  3.346  1000
29.14  3.065  131
31.69  2.823  161
36.32  2.473  73
43.59  2.077  328
45.43  1.996  149
50.15  1.819  177
53.45  1.714  295
54.88  1.673  128
69.84  1.347  82
69.97  1.345  125
82.65  1.167  82

Atomic structure:
a b c (Å): 7.315 7.315 7.315
angles (deg): 134.59 134.59 66.16
Element x y z (fractional)
Ba  0.000  0.000  0.000
Sr  0.250  0.750  0.500
Zn  0.500  0.500  0.000
Zn  0.750  0.250  0.500
F  0.274  0.673  0.117
F  0.327  0.444  0.602
F  0.419  0.013  0.083
F  0.556  0.158  0.883
F  0.664  0.581  0.594
F  0.842  0.726  0.398
F  0.930  0.336  0.917
F  0.987  0.070  0.406

***

Entry 3:
Structure and calculated XRD peak list of BaTa2F11 (a cell relaxed with PBE; CuKα).

Largest 12 diffraction maxima, in order of rising 2θ, 15 to 90 degrees two-theta:
2θ/deg  d [Å]  I_rel
20.42  4.349  1000
22.02  4.036  579
22.66  3.924  753
25.57  3.484  921
28.56  3.125  302
29.23  3.055  226
33.03  2.712  241
41.33  2.185  410
43.34  2.088  175
46.43  1.956  309
48.31  1.884  192
49.19  1.852  173

Atomic structure:
a b c (Å): 8.869 8.869 8.869
angles (deg): 128.00 109.48 92.92
Element x y z (fractional)
Ba  0.250  0.250  0.000
Ba  0.750  0.750  0.000
Ta  0.179  0.629  0.807
Ta  0.321  0.129  0.450
Ta  0.679  0.871  0.550
Ta  0.821  0.371  0.193
F  0.000  0.500  0.500
F  0.035  0.360  0.172
F  0.077  0.975  0.293
F  0.182  0.475  0.898
F  0.188  0.863  0.828
F  0.217  0.362  0.579
F  0.283  0.862  0.145
F  0.312  0.140  0.675
F  0.318  0.216  0.293
F  0.423  0.716  0.898
F  0.465  0.637  0.325
F  0.500  0.000  0.500
F  0.535  0.363  0.675
F  0.577  0.284  0.102
F  0.682  0.784  0.707
F  0.688  0.860  0.325
F  0.717  0.138  0.855
F  0.783  0.638  0.421
F  0.812  0.137  0.172
F  0.818  0.525  0.102
F  0.923  0.025  0.707
F  0.965  0.640  0.828

***

Entry 4:
Structure and calculated XRD peak list of BaTbF6 (a cell relaxed with PBE; CuKα).

Largest 12 diffraction maxima, in order of rising 2θ, 15 to 90 degrees two-theta:
2θ/deg  d [Å]  I_rel
22.89  3.885  1000
24.37  3.652  602
25.30  3.520  490
25.93  3.437  323
26.28  3.391  326
26.39  3.377  467
27.29  3.268  209
33.12  2.705  196
41.30  2.186  166
41.52  2.175  155
42.45  2.130  242
46.26  1.962  206

Atomic structure:
a b c (Å): 7.542 8.728 8.920
angles (deg): 104.21 113.99 94.15
Element x y z (fractional)
Ba  0.215  0.262  0.211
Ba  0.222  0.449  0.741
Ba  0.778  0.551  0.259
Ba  0.785  0.738  0.789
Tb  0.275  0.923  0.725
Tb  0.324  0.751  0.237
Tb  0.676  0.249  0.763
Tb  0.725  0.077  0.275
F  0.000  0.000  0.500
F  0.012  0.711  0.603
F  0.025  0.235  0.857
F  0.088  0.010  0.876
F  0.136  0.561  0.270
F  0.188  0.730  0.955
F  0.262  0.896  0.465
F  0.362  0.509  0.094
F  0.377  0.189  0.775
F  0.398  0.014  0.261
F  0.406  0.705  0.725
F  0.439  0.324  0.556
F  0.500  0.000  0.000
F  0.561  0.676  0.444
F  0.594  0.295  0.275
F  0.602  0.986  0.739
F  0.623  0.811  0.225
F  0.638  0.491  0.906
F  0.738  0.104  0.535
F  0.812  0.270  0.045
F  0.864  0.439  0.730
F  0.912  0.990  0.124
F  0.975  0.765  0.143
F  0.988  0.289  0.397

***

Entry 5:
Structure and calculated XRD peak list of BaTc2F11 (a cell relaxed with PBE; CuKα).

Largest 12 diffraction maxima, in order of rising 2θ, 15 to 90 degrees two-theta:
2θ/deg  d [Å]  I_rel
15.66  5.659  207
20.65  4.300  1000
22.66  3.924  956
24.69  3.605  646
30.21  2.958  386
31.94  2.802  150
41.79  2.161  188
42.02  2.150  334
43.25  2.092  156
44.08  2.055  367
44.30  2.045  320
65.08  1.433  138

Atomic structure:
a b c (Å): 8.706 8.706 8.706
angles (deg): 115.08 114.92 98.91
Element x y z (fractional)
Ba  0.250  0.250  0.000
Ba  0.750  0.750  0.000
Tc  0.155  0.654  0.809
Tc  0.345  0.154  0.499
Tc  0.655  0.846  0.501
Tc  0.845  0.346  0.191
F  0.000  0.500  0.500
F  0.067  0.362  0.187
F  0.120  0.931  0.292
F  0.138  0.431  0.811
F  0.175  0.880  0.813
F  0.204  0.293  0.498
F  0.296  0.793  0.089
F  0.325  0.138  0.705
F  0.362  0.173  0.292
F  0.380  0.673  0.811
F  0.433  0.620  0.295
F  0.500  0.000  0.500
F  0.567  0.380  0.705
F  0.620  0.327  0.189
F  0.638  0.827  0.708
F  0.675  0.862  0.295
F  0.704  0.207  0.911
F  0.796  0.707  0.502
F  0.825  0.120  0.187
F  0.862  0.569  0.189
F  0.880  0.069  0.708
F  0.933  0.638  0.813

***

Entry 6:
Structure and calculated XRD peak list of BaTeF5 (a cell relaxed with PBE; CuKα).

Largest 12 diffraction maxima, in order of rising 2θ, 15 to 90 degrees two-theta:
2θ/deg  d [Å]  I_rel
19.05  4.659  812
22.33  3.981  1000
25.11  3.547  361
28.46  3.136  261
30.53  2.928  232
31.71  2.822  193
37.39  2.405  226
38.65  2.329  201
42.60  2.122  246
43.64  2.074  162
45.57  1.991  142
46.51  1.952  127

Atomic structure:
a b c (Å): 6.493 6.493 9.655
angles (deg): 115.60 115.60 66.23
Element x y z (fractional)
Ba  0.031  0.969  0.750
Ba  0.969  0.031  0.250
Te  0.500  0.500  0.000
Te  0.500  0.500  0.500
F  0.192  0.796  0.479
F  0.204  0.808  0.021
F  0.266  0.288  0.903
F  0.288  0.266  0.403
F  0.396  0.604  0.750
F  0.604  0.396  0.250
F  0.712  0.734  0.597
F  0.734  0.712  0.097
F  0.796  0.192  0.979
F  0.808  0.204  0.521

***

Entry 7:
Structure and calculated XRD peak list of BaTe2F10 (a cell relaxed with PBE; CuKα).

Largest 12 diffraction maxima, in order of rising 2θ, 15 to 90 degrees two-theta:
2θ/deg  d [Å]  I_rel
19.94  4.452  87
22.47  3.958  530
24.37  3.652  624
24.83  3.586  1000
33.05  2.710  184
34.41  2.606  89
40.32  2.237  208
41.18  2.192  194
43.14  2.097  171
43.21  2.094  177
44.02  2.057  195
44.52  2.035  92

Atomic structure:
a b c (Å): 9.160 9.160 10.476
angles (deg): 111.99 111.99 31.32
Element x y z (fractional)
Ba  0.044  0.956  0.750
Ba  0.956  0.044  0.250
Te  0.285  0.398  0.430
Te  0.398  0.285  0.930
Te  0.602  0.715  0.070
Te  0.715  0.602  0.570
F  0.039  0.555  0.254
F  0.058  0.278  0.463
F  0.177  0.701  0.447
F  0.191  0.595  0.841
F  0.278  0.058  0.963
F  0.299  0.823  0.053
F  0.357  0.496  0.120
F  0.405  0.809  0.659
F  0.445  0.961  0.246
F  0.496  0.357  0.620
F  0.504  0.643  0.380
F  0.555  0.039  0.754
F  0.595  0.191  0.341
F  0.643  0.504  0.880
F  0.701  0.177  0.947
F  0.722  0.942  0.037
F  0.809  0.405  0.159
F  0.823  0.299  0.553
F  0.942  0.722  0.537
F  0.961  0.445  0.746

***

Entry 8:
Structure and calculated XRD peak list of Ba2Ti2F11 (a cell relaxed with PBE; CuKα).

Largest 12 diffraction maxima, in order of rising 2θ, 15 to 90 degrees two-theta:
2θ/deg  d [Å]  I_rel
18.30  4.847  299
22.58  3.938  357
24.38  3.651  248
25.09  3.549  1000
27.13  3.287  159
27.52  3.241  649
37.09  2.424  153
38.12  2.361  324
38.70  2.327  271
39.55  2.279  172
41.84  2.159  271
48.58  1.874  212

Atomic structure:
a b c (Å): 7.302 7.302 15.096
angles (deg): 90.00 90.00 120.00
Element x y z (fractional)
Ba  0.000  0.198  0.333
Ba  0.000  0.457  0.833
Ba  0.198  0.000  0.667
Ba  0.457  0.000  0.167
Ba  0.543  0.543  0.500
Ba  0.802  0.802  0.000
Ti  0.170  0.389  0.096
Ti  0.219  0.830  0.430
Ti  0.389  0.170  0.904
Ti  0.611  0.781  0.763
Ti  0.781  0.611  0.237
Ti  0.830  0.219  0.570
F  0.000  0.763  0.333
F  0.014  0.780  0.157
F  0.053  0.487  0.009
F  0.123  0.269  0.567
F  0.146  0.877  0.901
F  0.161  0.521  0.202
F  0.220  0.234  0.824
F  0.232  0.572  0.408
F  0.234  0.220  0.176
F  0.237  0.237  0.000
F  0.269  0.123  0.433
F  0.340  0.768  0.741
F  0.360  0.839  0.536
F  0.428  0.660  0.074
F  0.434  0.947  0.343
F  0.479  0.640  0.869
F  0.487  0.053  0.991
F  0.513  0.566  0.676
F  0.521  0.161  0.798
F  0.566  0.513  0.324
F  0.572  0.232  0.592
F  0.640  0.479  0.131
F  0.660  0.428  0.926
F  0.731  0.854  0.234
F  0.763  0.000  0.667
F  0.766  0.986  0.490
F  0.768  0.340  0.259
F  0.780  0.014  0.843
F  0.839  0.360  0.464
F  0.854  0.731  0.766
F  0.877  0.146  0.099
F  0.947  0.434  0.657
F  0.986  0.766  0.510

***

Entry 9:
Structure and calculated XRD peak list of Ba3TiF12 (a cell relaxed with PBE; CuKα).

Largest 12 diffraction maxima, in order of rising 2θ, 15 to 90 degrees two-theta:
2θ/deg  d [Å]  I_rel
19.00  4.671  1000
22.64  3.928  339
23.18  3.838  230
23.30  3.818  229
23.50  3.786  780
26.54  3.359  180
35.63  2.520  487
35.82  2.507  355
36.27  2.477  425
38.55  2.335  366
46.22  1.964  215
48.07  1.893  192

Atomic structure:
a b c (Å): 7.995 7.995 6.718
angles (deg): 90.18 90.18 108.73
Element x y z (fractional)
Ba  0.000  0.000  0.000
Ba  0.000  0.500  0.500
Ba  0.500  0.000  0.500
Ti  0.000  0.000  0.500
F  0.035  0.217  0.319
F  0.036  0.217  0.682
F  0.217  0.035  0.319
F  0.217  0.036  0.682
F  0.324  0.675  0.350
F  0.325  0.676  0.650
F  0.675  0.324  0.350
F  0.676  0.325  0.650
F  0.783  0.964  0.318
F  0.783  0.965  0.681
F  0.964  0.783  0.318
F  0.965  0.783  0.681

***

Entry 10:
Structure and calculated XRD peak list of BaTiTl2F8 (a cell relaxed with PBE; CuKα).

Largest 12 diffraction maxima, in order of rising 2θ, 15 to 90 degrees two-theta:
2θ/deg  d [Å]  I_rel
22.58  3.938  773
24.19  3.679  717
26.86  3.320  1000
27.79  3.211  302
29.83  2.996  508
38.15  2.359  223
40.24  2.241  506
42.18  2.142  365
46.40  1.957  223
48.14  1.890  193
48.58  1.874  200
52.60  1.740  186

Atomic structure:
a b c (Å): 4.730 7.756 6.438
angles (deg): 90.00 94.07 90.00
Element x y z (fractional)
Ba  0.000  0.000  0.000
Ti  0.000  0.500  0.000
Tl  0.500  0.263  0.500
Tl  0.500  0.737  0.500
F  0.114  0.317  0.822
F  0.114  0.683  0.822
F  0.341  0.500  0.163
F  0.478  0.000  0.240
F  0.522  0.000  0.760
F  0.659  0.500  0.837
F  0.886  0.317  0.178
F  0.886  0.683  0.178